Theoretical powder diffraction line list of Ac4Cd3Sn for Cu Kα, 1.54184 Å, from a cell relaxed with PBE.
Neutral-atom scattering factors, no anomalous dispersion.

Principal peaks in the range 2θ from 10° to 80°, low angle first:
| 2theta | I/Imax |
| --- | --- |
| 21.9 | 11 |
| 30.8 | 100 |
| 31.2 | 49 |
| 43.6 | 10 |
| 44.8 | 18 |
| 54.6 | 20 |
| 55.3 | 39 |
| 64.3 | 12 |
| 72.1 | 9 |
| 73.8 | 8 |

Crystal structure
abc: 4.050 4.050 16.609
angles: 90.00 90.00 90.00
Positions (direct):
1 Ac 0.000 0.000 0.123
2 Ac 0.000 0.000 0.374
3 Ac 0.000 0.000 0.626
4 Ac 0.000 0.000 0.877
5 Cd 0.500 0.500 0.000
6 Cd 0.500 0.500 0.246
7 Cd 0.500 0.500 0.754
8 Sn 0.500 0.500 0.500